Structure and computed powder X-ray diffraction pattern of Ba4IrBr2F (a cell relaxed with GGA-PBE; Cu Kα).
Neutral-atom scattering factors, no anomalous dispersion.

Largest 10 diffraction maxima, in order of rising 2θ, 2θ = 15–90°:
- hkl 1 1 1, 26.97°, intensity 100.0
- hkl 2 0 -2, 28.11°, intensity 39.8
- hkl 2 0 2, 37.05°, intensity 19.1
- hkl 1 1 -3, 37.51°, intensity 28.9
- hkl 0 2 0, 39.92°, intensity 18.2
- hkl 3 1 -1, 41.11°, intensity 32.2
- hkl 2 2 -2, 49.53°, intensity 16.3
- hkl 4 0 0, 50.18°, intensity 9.3
- hkl 2 2 2, 55.60°, intensity 11.7
- hkl 3 1 3, 60.84°, intensity 12.2

Atomic structure:
```
data_Ba4IrBr2F
_chemical_formula_sum 'Ba4 Ir1 Br2 F1'
_cell_length_a 7.541
_cell_length_b 4.517
_cell_length_c 8.545
_cell_angle_alpha 90.00
_cell_angle_beta 105.35
_cell_angle_gamma 90.00
_symmetry_space_group_name_H-M 'P 1 2/m 1'
_symmetry_Int_Tables_number 10
_symmetry_space_group_name_Hall '-P 2y'
loop_
_atom_site_label
_atom_site_type_symbol
_atom_site_fract_x
_atom_site_fract_y
_atom_site_fract_z
_atom_site_occupancy
Ba1 Ba 0.246 0.000 0.200 1
Ba2 Ba 0.248 0.500 0.787 1
Ir1 Ir 0.000 0.500 0.000 1
Br1 Br 0.000 0.000 0.500 1
Br2 Br 0.500 0.500 0.500 1
F1 F 0.500 0.000 0.000 1
```